For CSe4Br2, DFT lattice parameters and positions (GGA-PBE) gives the theoretical powder diffractogram in this record (Cu Ka).
Intensities are scaled so that the largest is 100.

Largest 6 diffraction maxima, low angle first, 10 to 80 degrees two-theta:
(hkl)  two_theta  intensity
3 1 0  21.96  100
2 1 1  22.38  45
4 1 0  24.58  34
4 0 2  26.35  26
4 0 3  35.14  43
5 2 1  43.74  30

Cell and atoms:
```
data_CSe4Br2
_chemical_formula_sum 'C4 Se16 Br8'
_symmetry_space_group_name_H-M 'P n a 21'
_symmetry_Int_Tables_number 33
_cell_length_a 21.480
_cell_length_b 4.906
_cell_length_c 8.711
_cell_angle_alpha 90.00
_cell_angle_beta 90.00
_cell_angle_gamma 90.00
loop_
_symmetry_equiv_pos_as_xyz
'x,y,z'
'-x,-y,z+1/2'
'-x+1/2,y+1/2,z+1/2'
'x+1/2,-y+1/2,z'
loop_
_atom_site_label
_atom_site_fract_x
_atom_site_fract_y
_atom_site_fract_z
C1 0.122 0.081 0.000
Se1 0.079 0.215 0.828
Se2 0.092 0.105 0.199
Se3 0.188 0.875 0.266
Se4 0.199 0.907 0.991
Br1 0.008 0.633 0.507
Br2 0.173 0.038 0.664
```